The following is a simulated XRD peak list of CuNiSb. It was derived from a GGA-PBE-relaxed structure, using copper Kα.
No peak broadening, texture or thermal motion is included.

Top 10 peaks for 2θ from 10° to 90°, most intense first:
(hkl)  d/Å  Position (°2θ)  Rel. int.
2 1 2  2.068  43.77  100
0 0 2  3.046  29.32  40
2 1 0  2.813  31.81  34
4 0 0  2.036  44.49  25
0 2 0  1.945  46.69  24
4 2 0  1.407  66.47  14
2 3 2  1.145  84.61  14
6 1 2  1.182  81.44  13
3 1 1  2.092  43.25  12
1 0 3  1.973  46.00  11

Structural model:
```
data_CuNiSb
_chemical_formula_sum 'Cu4 Ni4 Sb4'
_cell_length_a 8.146
_cell_length_b 3.891
_cell_length_c 6.101
_cell_angle_alpha 90.00
_cell_angle_beta 90.00
_cell_angle_gamma 90.00
_space_group_name_H-M_alt 'P n m a'
_space_group_IT_number 62
_space_group_name_Hall '-P 2ac 2n'
loop_
_atom_site_label
_atom_site_type_symbol
_atom_site_fract_x
_atom_site_fract_y
_atom_site_fract_z
Cu1 Cu 0.114 0.250 0.208
Ni1 Ni 0.110 0.750 0.504
Sb1 Sb 0.133 0.250 0.773
```